Starting from the GGA+U geometry in Alexandria, the powder diffractogram of BaFeRe2O8 was calculated for Cu Kα (weighted mean of Kα1 and Kα2).
Neutral-atom scattering factors, no anomalous dispersion.

Atomic structure:
```
data_BaFeRe2O8
_chemical_formula_sum 'Ba1 Fe1 Re2 O8'
_cell_length_a 5.7962
_cell_length_b 5.7962
_cell_length_c 7.2835
_cell_angle_alpha 90.00
_cell_angle_beta 90.00
_cell_angle_gamma 120.00
_space_group_name_H-M_alt 'P -3 m 1'
_space_group_IT_number 164
_space_group_name_Hall '-P 3 2"'
loop_
_atom_site_label
_atom_site_fract_x
_atom_site_fract_y
_atom_site_fract_z
Ba1 0.0000 0.0000 0.0000
Fe1 0.0000 0.0000 0.5000
Re1 0.3333 0.6667 0.7524
O1 0.1615 0.3230 0.6786
O2 0.3333 0.6667 0.9987
```

Peak list (10 most intense, 2θ = 10–90°, in order of rising 2θ)
- hkl 1 0 1, 2θ 21.50, intensity 100
- hkl 0 1 2, 2θ 30.32, intensity 42
- hkl 1 1 0, 2θ 30.85, intensity 53
- hkl 0 2 1, 2θ 37.92, intensity 13
- hkl 0 1 3, 2θ 41.31, intensity 17
- hkl 0 2 2, 2θ 43.81, intensity 20
- hkl 2 1 1, 2θ 49.66, intensity 22
- hkl 1 2 2, 2θ 54.54, intensity 17
- hkl 3 0 0, 2θ 54.87, intensity 10
- hkl 1 1 4, 2θ 60.00, intensity 18